For Tb7RuSe5, DFT lattice parameters and positions (GGA-PBE) gives the simulated X-ray diffraction stick pattern in this record (λ = 1.5418 Å (Cu Kα)).

Top 10 peaks for 2θ from 10° to 80°, in order of rising 2θ:
- 2θ = 28.61°, rel. 72.0
- 2θ = 30.28°, rel. 34.0
- 2θ = 30.94°, rel. 95.2
- 2θ = 31.99°, rel. 100.0
- 2θ = 40.64°, rel. 44.2
- 2θ = 43.82°, rel. 22.8
- 2θ = 44.24°, rel. 27.4
- 2θ = 44.58°, rel. 28.7
- 2θ = 45.84°, rel. 35.1
- 2θ = 54.92°, rel. 29.6

Structure:
abc: 3.959 13.508 24.621
angles: 90.00 90.00 90.00
Space group Cmc2_1 (No. 36)
Unique sites:
Tb 0.000 0.044 0.000
Tb 0.000 0.131 0.716
Tb 0.000 0.148 0.290
Tb 0.000 0.285 0.933
Tb 0.000 0.304 0.068
Tb 0.000 0.395 0.625
Tb 0.000 0.424 0.362
Ru 0.000 0.311 0.511
Se 0.000 0.048 0.610
Se 0.000 0.066 0.396
Se 0.000 0.212 0.824
Se 0.000 0.229 0.180
Se 0.000 0.488 0.749


For AcUPaO6, DFT lattice parameters and positions (GGA-PBE) gives the simulated X-ray diffraction stick pattern in this record (λ = 1.5418 Å (Cu Kα)).

Top 10 peaks for 2θ from 10° to 80°, in order of rising 2θ:
- 2θ = 25.38°, rel. 100.0
- 2θ = 29.67°, rel. 65.3
- 2θ = 35.30°, rel. 12.0
- 2θ = 39.43°, rel. 32.2
- 2θ = 48.87°, rel. 44.7
- 2θ = 50.11°, rel. 32.9
- 2θ = 52.65°, rel. 19.4
- 2θ = 66.70°, rel. 13.4
- 2θ = 67.73°, rel. 13.7
- 2θ = 74.67°, rel. 12.6

Structure:
abc: 6.0215 6.0215 9.4915
angles: 90.00 90.00 120.00
Space group P-31c (No. 163)
Unique sites:
Ac 0.3333 0.6667 0.2500
U 0.3333 0.6667 0.7500
Pa 0.0000 0.0000 0.0000
O 0.0404 0.3334 0.6244


For Tl3Cu2AgBr9, DFT lattice parameters and positions (GGA-PBE) gives the simulated X-ray diffraction stick pattern in this record (λ = 1.5418 Å (Cu Kα)).

Top 10 peaks for 2θ from 10° to 80°, in order of rising 2θ:
- 2θ = 24.03°, rel. 71.1
- 2θ = 29.44°, rel. 22.9
- 2θ = 29.58°, rel. 69.0
- 2θ = 34.25°, rel. 100.0
- 2θ = 42.32°, rel. 24.2
- 2θ = 49.12°, rel. 35.0
- 2θ = 49.31°, rel. 35.1
- 2θ = 58.50°, rel. 29.7
- 2θ = 61.41°, rel. 18.0
- 2θ = 72.15°, rel. 10.9

Structure:
abc: 7.3921 7.3921 9.1034
angles: 90.00 90.00 120.00
Space group P-3m1 (No. 164)
Unique sites:
Tl 0.0000 0.0000 0.0000
Tl 0.3333 0.6667 0.6720
Cu 0.3333 0.6667 0.1617
Ag 0.0000 0.0000 0.5000
Br 0.0000 0.5000 0.0000
Br 0.1713 0.3426 0.3241


For PmNd8Mg2, DFT lattice parameters and positions (GGA-PBE) gives the simulated X-ray diffraction stick pattern in this record (λ = 1.5418 Å (Cu Kα)).

Top 10 peaks for 2θ from 10° to 80°, in order of rising 2θ:
- 2θ = 30.43°, rel. 94.5
- 2θ = 30.60°, rel. 100.0
- 2θ = 32.99°, rel. 39.9
- 2θ = 33.41°, rel. 41.3
- 2θ = 39.43°, rel. 22.5
- 2θ = 47.66°, rel. 27.4
- 2θ = 52.59°, rel. 29.8
- 2θ = 57.54°, rel. 14.9
- 2θ = 57.87°, rel. 15.4
- 2θ = 57.98°, rel. 16.3

Structure:
abc: 17.423 5.364 8.479
angles: 90.00 112.45 90.00
Space group C2/m (No. 12)
Unique sites:
Pm 0.000 0.000 0.000
Nd 0.051 0.500 0.735
Nd 0.098 0.000 0.466
Nd 0.146 0.500 0.202
Nd 0.186 0.000 0.949
Mg 0.225 0.500 0.630


For PrCd3Pt3, DFT lattice parameters and positions (GGA-PBE) gives the simulated X-ray diffraction stick pattern in this record (λ = 1.5418 Å (Cu Kα)).

Top 10 peaks for 2θ from 10° to 80°, in order of rising 2θ:
- 2θ = 17.14°, rel. 25.4
- 2θ = 24.33°, rel. 42.1
- 2θ = 29.91°, rel. 100.0
- 2θ = 42.81°, rel. 37.8
- 2θ = 46.44°, rel. 59.6
- 2θ = 49.85°, rel. 33.9
- 2θ = 56.22°, rel. 16.8
- 2θ = 59.23°, rel. 14.4
- 2θ = 70.49°, rel. 17.0
- 2θ = 73.17°, rel. 21.4

Structure:
abc: 7.317 7.317 7.317
angles: 90.00 90.00 90.00
Space group Pm-3n (No. 223)
Unique sites:
Pr 0.000 0.000 0.000
Cd 0.000 0.250 0.500
Pt 0.000 0.500 0.250


For Pm3Nd5, DFT lattice parameters and positions (GGA-PBE) gives the simulated X-ray diffraction stick pattern in this record (λ = 1.5418 Å (Cu Kα)).

Top 6 peaks for 2θ from 10° to 80°, in order of rising 2θ:
- 2θ = 29.80°, rel. 100.0
- 2θ = 34.54°, rel. 50.7
- 2θ = 49.65°, rel. 36.4
- 2θ = 58.99°, rel. 43.4
- 2θ = 61.89°, rel. 12.5
- 2θ = 72.85°, rel. 5.8

Structure:
abc: 3.672 3.672 20.776
angles: 90.00 90.00 90.00
Space group P4/mmm (No. 123)
Unique sites:
Pm 0.000 0.000 0.000
Pm 0.500 0.500 0.375
Nd 0.000 0.000 0.250
Nd 0.000 0.000 0.500
Nd 0.500 0.500 0.125


For BaLi2RhCl8, DFT lattice parameters and positions (GGA-PBE) gives the simulated X-ray diffraction stick pattern in this record (λ = 1.5418 Å (Cu Kα)).

Top 10 peaks for 2θ from 10° to 80°, in order of rising 2θ:
- 2θ = 14.71°, rel. 100.0
- 2θ = 15.60°, rel. 70.1
- 2θ = 19.94°, rel. 47.1
- 2θ = 20.52°, rel. 47.1
- 2θ = 22.73°, rel. 41.6
- 2θ = 22.96°, rel. 55.3
- 2θ = 31.50°, rel. 27.9
- 2θ = 31.98°, rel. 74.4
- 2θ = 33.37°, rel. 68.8
- 2θ = 36.81°, rel. 35.9

Structure:
abc: 5.790 6.236 8.925
angles: 77.22 82.21 80.55
Space group P-1 (No. 2)
Unique sites:
Ba 0.000 0.000 0.000
Li 0.311 0.535 0.334
Rh 0.000 0.000 0.500
Cl 0.101 0.238 0.646
Cl 0.156 0.216 0.268
Cl 0.356 0.767 0.521
Cl 0.474 0.715 0.094


For La2Pr3Cu2, DFT lattice parameters and positions (GGA-PBE) gives the simulated X-ray diffraction stick pattern in this record (λ = 1.5418 Å (Cu Kα)).

Top 10 peaks for 2θ from 10° to 80°, in order of rising 2θ:
- 2θ = 28.36°, rel. 100.0
- 2θ = 29.97°, rel. 92.3
- 2θ = 30.93°, rel. 78.4
- 2θ = 31.27°, rel. 43.3
- 2θ = 31.50°, rel. 99.1
- 2θ = 33.08°, rel. 48.5
- 2θ = 33.38°, rel. 58.4
- 2θ = 33.59°, rel. 45.4
- 2θ = 34.40°, rel. 61.3
- 2θ = 47.32°, rel. 40.5

Structure:
abc: 12.653 3.842 9.471
angles: 90.00 115.19 90.00
Space group C2/m (No. 12)
Unique sites:
La 0.160 0.000 0.314
Pr 0.000 0.500 0.500
Pr 0.115 0.500 0.941
Cu 0.164 0.000 0.727


For CeCuRu, DFT lattice parameters and positions (GGA-PBE) gives the simulated X-ray diffraction stick pattern in this record (λ = 1.5418 Å (Cu Kα)).

Top 10 peaks for 2θ from 10° to 80°, in order of rising 2θ:
- 2θ = 33.72°, rel. 71.2
- 2θ = 37.86°, rel. 38.4
- 2θ = 38.25°, rel. 19.4
- 2θ = 39.08°, rel. 100.0
- 2θ = 39.33°, rel. 48.0
- 2θ = 39.43°, rel. 34.8
- 2θ = 43.25°, rel. 51.1
- 2θ = 44.89°, rel. 24.7
- 2θ = 69.71°, rel. 17.8
- 2θ = 70.90°, rel. 39.2

Structure:
abc: 4.706 5.615 7.868
angles: 90.00 90.00 90.00
Space group Imma (No. 74)
Unique sites:
Ce 0.000 0.250 0.124
Cu 0.250 0.250 0.750
Ru 0.000 0.000 0.500


For Y2Ge3Ir5, DFT lattice parameters and positions (GGA-PBE) gives the simulated X-ray diffraction stick pattern in this record (λ = 1.5418 Å (Cu Kα)).

Top 10 peaks for 2θ from 10° to 80°, in order of rising 2θ:
- 2θ = 31.19°, rel. 21.9
- 2θ = 34.31°, rel. 33.8
- 2θ = 35.91°, rel. 100.0
- 2θ = 36.17°, rel. 56.3
- 2θ = 39.77°, rel. 50.6
- 2θ = 42.71°, rel. 30.0
- 2θ = 43.42°, rel. 56.9
- 2θ = 45.90°, rel. 27.2
- 2θ = 48.30°, rel. 21.4
- 2θ = 68.96°, rel. 29.7

Structure:
abc: 4.168 24.320 6.776
angles: 90.00 90.00 90.00
Space group Cmc2_1 (No. 36)
Unique sites:
Y 0.000 0.022 0.000
Y 0.000 0.325 0.016
Ge 0.000 0.111 0.731
Ge 0.000 0.266 0.528
Ge 0.000 0.455 0.795
Ir 0.000 0.100 0.345
Ir 0.000 0.207 0.231
Ir 0.000 0.208 0.830
Ir 0.000 0.368 0.553
Ir 0.000 0.443 0.166


For LaPr5Sm3, DFT lattice parameters and positions (GGA-PBE) gives the simulated X-ray diffraction stick pattern in this record (λ = 1.5418 Å (Cu Kα)).

Top 10 peaks for 2θ from 10° to 80°, in order of rising 2θ:
- 2θ = 23.65°, rel. 24.1
- 2θ = 27.37°, rel. 46.8
- 2θ = 28.88°, rel. 41.8
- 2θ = 30.77°, rel. 100.0
- 2θ = 30.95°, rel. 77.0
- 2θ = 31.12°, rel. 79.2
- 2θ = 31.26°, rel. 60.2
- 2θ = 33.00°, rel. 43.0
- 2θ = 34.01°, rel. 52.7
- 2θ = 53.88°, rel. 19.8

Structure:
abc: 18.996 6.615 11.506
angles: 90.00 113.39 90.00
Space group C2/c (No. 15)
Unique sites:
La 0.000 0.136 0.250
Pr 0.000 0.403 0.750
Pr 0.169 0.179 0.866
Pr 0.169 0.303 0.210
Sm 0.000 0.000 0.000
Sm 0.161 0.301 0.515


For Sm2HoUAs4, DFT lattice parameters and positions (GGA-PBE) gives the simulated X-ray diffraction stick pattern in this record (λ = 1.5418 Å (Cu Kα)).

Top 10 peaks for 2θ from 10° to 80°, in order of rising 2θ:
- 2θ = 26.25°, rel. 13.8
- 2θ = 26.38°, rel. 13.6
- 2θ = 30.48°, rel. 100.0
- 2θ = 43.44°, rel. 12.6
- 2θ = 43.66°, rel. 49.8
- 2θ = 43.78°, rel. 12.4
- 2θ = 54.02°, rel. 13.3
- 2θ = 54.31°, rel. 13.2
- 2θ = 71.97°, rel. 11.4
- 2θ = 72.08°, rel. 11.3

Structure:
abc: 7.184 4.135 7.191
angles: 90.00 109.15 90.00
Space group P2/m (No. 10)
Unique sites:
Sm 0.000 0.000 0.000
Sm 0.500 0.500 0.000
Ho 0.000 0.500 0.500
U 0.500 0.000 0.500
As 0.250 0.000 0.740
As 0.254 0.500 0.259


Question: Which formula does entry 5 have?
Answer: PrCd3Pt3


Please write out number 8 again, unchanged.
For La2Pr3Cu2, DFT lattice parameters and positions (GGA-PBE) gives the simulated X-ray diffraction stick pattern in this record (λ = 1.5418 Å (Cu Kα)).

Top 10 peaks for 2θ from 10° to 80°, in order of rising 2θ:
- 2θ = 28.36°, rel. 100.0
- 2θ = 29.97°, rel. 92.3
- 2θ = 30.93°, rel. 78.4
- 2θ = 31.27°, rel. 43.3
- 2θ = 31.50°, rel. 99.1
- 2θ = 33.08°, rel. 48.5
- 2θ = 33.38°, rel. 58.4
- 2θ = 33.59°, rel. 45.4
- 2θ = 34.40°, rel. 61.3
- 2θ = 47.32°, rel. 40.5

Structure:
abc: 12.653 3.842 9.471
angles: 90.00 115.19 90.00
Space group C2/m (No. 12)
Unique sites:
La 0.160 0.000 0.314
Pr 0.000 0.500 0.500
Pr 0.115 0.500 0.941
Cu 0.164 0.000 0.727